The following is a computed XRD peak list of TlFe. It was derived from DFT lattice parameters and positions (GGA-PBE), using Cu Kα.
Peak positions follow from Bragg's law for the DFT cell and can differ from measured ones.

Principal peaks in the range 15° ≤ 2θ ≤ 90°, by angle:
- 2θ = 24.0°, I 49
- 2θ = 27.6°, I 85
- 2θ = 31.0°, I 86
- 2θ = 36.9°, I 100
- 2θ = 39.5°, I 59
- 2θ = 42.0°, I 64
- 2θ = 44.6°, I 32
- 2θ = 53.3°, I 30
- 2θ = 55.1°, I 36
- 2θ = 61.1°, I 33

abc: 6.7715 6.7715 6.7715
angles: 95.16 95.16 145.09
Atoms (fractional coordinates):
Tl: 0.0000 0.2646 0.2646
Tl: 0.0000 0.7354 0.7354
Tl: 0.2646 0.0000 0.2646
Tl: 0.7354 0.0000 0.7354
Fe: 0.3018 0.3018 0.6037
Fe: 0.3018 0.6982 0.0000
Fe: 0.6982 0.3018 0.0000
Fe: 0.6982 0.6982 0.3963